# CaSb3P3O13
Theoretical powder diffraction line list, a wavelength of 1.5418 Å. Input: a crystal structure in Alexandria, relaxed with GGA-PBE.

Structure:
```
CaSb3P3O13
1.0
8.4255 0.0000 0.0000
0.0000 6.9718 0.0000
-2.9124 0.0000 10.7443
Ca Sb P O
2 6 6 26
Direct
0.1164 0.2500 0.1962
0.8836 0.7500 0.8038
0.1531 0.2500 0.7535
0.2524 0.7500 0.4288
0.5000 0.0000 0.0000
0.5000 0.5000 0.0000
0.7476 0.2500 0.5712
0.8469 0.7500 0.2465
0.1933 0.7500 0.0945
0.2468 0.7500 0.7465
0.3213 0.2500 0.4875
0.6787 0.7500 0.5125
0.7532 0.2500 0.2535
0.8067 0.2500 0.9055
0.0218 0.7500 0.0036
0.1335 0.5755 0.7531
0.1335 0.9245 0.7531
0.1736 0.7500 0.2307
0.2222 0.2500 0.5868
0.2731 0.0751 0.3985
0.2731 0.4249 0.3985
0.2870 0.5602 0.0830
0.2870 0.9398 0.0830
0.3208 0.7500 0.6353
0.3668 0.2500 0.8814
0.3994 0.7500 0.8641
0.4946 0.7500 0.4384
0.5054 0.2500 0.5616
0.6006 0.2500 0.1359
0.6332 0.7500 0.1186
0.6792 0.2500 0.3647
0.7130 0.0602 0.9170
0.7130 0.4398 0.9170
0.7269 0.5751 0.6015
0.7269 0.9249 0.6015
0.7778 0.7500 0.4132
0.8264 0.2500 0.7693
0.8665 0.0755 0.2469
0.8665 0.4245 0.2469
0.9782 0.2500 0.9964
```

Most intense lines, 15 to 90 degrees two-theta, low angle first:
two_theta	I (rel.)
15.15	37
17.24	100
25.37	53
25.55	52
26.89	37
29.77	49
33.87	38
35.59	42